This entry pairs a crystal structure of UIn3Br8 with its computed powder X-ray diffraction pattern. Radiation: Cu Kα X-rays. Structure: the GGA-PBE geometry in Alexandria.

Largest 8 diffraction maxima, by angle, 15 to 90 degrees two-theta:
20.88°, I 55, hkl 1 1 1; 34.43°, I 100, hkl 2 2 0; 40.61°, I 29, hkl 3 1 1; 49.48°, I 16, hkl 4 0 0; 54.27°, I 13, hkl 3 3 1; 61.67°, I 32, hkl 4 2 2; 72.58°, I 9, hkl 4 4 0; 82.86°, I 12, hkl 6 2 0

```
data_UIn3Br8
_symmetry_space_group_name_H-M 'P m -3 m'
_symmetry_Int_Tables_number 221
_symmetry_space_group_name_Hall '-P 4 2 3'
_cell_length_a 7.368
_cell_length_b 7.368
_cell_length_c 7.368
_cell_angle_alpha 90.00
_cell_angle_beta 90.00
_cell_angle_gamma 90.00
loop_
_atom_site_label
_atom_site_type_symbol
_atom_site_fract_x
_atom_site_fract_y
_atom_site_fract_z
U1 U 0.000 0.000 0.000
In1 In 0.000 0.500 0.500
Br1 Br 0.230 0.230 0.230
```

This entry pairs a crystal structure of UIn3Br7 with its computed powder X-ray diffraction pattern. Radiation: Cu Kα X-rays. Structure: the GGA-PBE geometry in Alexandria.

Largest 8 diffraction maxima, by angle, 15 to 90 degrees two-theta:
15.34°, I 35, hkl 2 0 -1; 19.13°, I 37, hkl 2 0 0; 19.99°, I 51, hkl 2 0 -2; 21.85°, I 100, hkl 0 2 1; 30.96°, I 50, hkl 4 0 -2; 33.77°, I 85, hkl 2 2 1; 34.80°, I 34, hkl 2 2 -3; 36.76°, I 34, hkl 0 4 0

```
data_UIn3Br7
_symmetry_space_group_name_H-M 'C 1 m 1'
_symmetry_Int_Tables_number 8
_cell_length_a 11.564
_cell_length_b 9.781
_cell_length_c 9.136
_cell_angle_alpha 90.00
_cell_angle_beta 126.64
_cell_angle_gamma 90.00
loop_
_symmetry_equiv_pos_as_xyz
'x,y,z'
'x,-y,z'
'x+1/2,y+1/2,z'
'x+1/2,-y+1/2,z'
loop_
_atom_site_label
_atom_site_type_symbol
_atom_site_fract_x
_atom_site_fract_y
_atom_site_fract_z
U1 U 0.000 0.000 0.000
In1 In 0.062 0.500 0.120
In2 In 0.089 0.204 0.564
Br1 Br 0.182 0.186 0.293
Br2 Br 0.186 0.500 0.661
Br3 Br 0.210 0.000 0.936
Br4 Br 0.350 0.500 0.153
Br5 Br 0.436 0.236 0.816
```

This entry pairs a crystal structure of VIn2Br5 with its computed powder X-ray diffraction pattern. Radiation: Cu Kα X-rays. Structure: the GGA-PBE geometry in Alexandria.

Largest 8 diffraction maxima, by angle, 15 to 90 degrees two-theta:
15.19°, I 51, hkl 2 0 -1; 24.02°, I 65, hkl 2 2 -1; 28.46°, I 100, hkl 2 2 -2; 30.37°, I 49, hkl 0 0 2; 34.32°, I 30, hkl 4 0 -1; 37.49°, I 30, hkl 0 4 0; 39.08°, I 32, hkl 2 2 1; 48.98°, I 31, hkl 0 4 2

```
data_VIn2Br5
_symmetry_space_group_name_H-M 'C 1 m 1'
_symmetry_Int_Tables_number 8
_cell_length_a 11.663
_cell_length_b 9.596
_cell_length_c 8.281
_cell_angle_alpha 90.00
_cell_angle_beta 134.69
_cell_angle_gamma 90.00
loop_
_symmetry_equiv_pos_as_xyz
'x,y,z'
'x,-y,z'
'x+1/2,y+1/2,z'
'x+1/2,-y+1/2,z'
loop_
_atom_site_label
_atom_site_type_symbol
_atom_site_fract_x
_atom_site_fract_y
_atom_site_fract_z
V1 V 0.000 0.000 0.000
In1 In 0.442 0.250 0.499
Br1 Br 0.083 0.232 0.000
Br2 Br 0.236 0.000 0.441
Br3 Br 0.295 0.500 0.559
Br4 Br 0.297 0.500 0.001
```